Starting from a structure optimized by DFT (PBE+U), the powder diffractogram of Li4Mn5Te3O16 was computed for Cu Kα, 1.54184 Å.
Lines closer than 0.1° are merged.

```
data_Li4Mn5Te3O16
_space_group_name_H-M_alt 'P 1'
_space_group_IT_number 1
_cell_length_a 6.260
_cell_length_b 6.271
_cell_length_c 10.033
_cell_angle_alpha 89.19
_cell_angle_beta 89.42
_cell_angle_gamma 60.85
loop_
_space_group_symop_operation_xyz
'x,y,z'
loop_
_atom_site_label
_atom_site_fract_x
_atom_site_fract_y
_atom_site_fract_z
Li1 0.000 0.000 0.000
Li2 0.018 0.986 0.494
Li3 0.343 0.345 0.131
Li4 0.669 0.713 0.604
Mn1 0.160 0.180 0.782
Mn2 0.314 0.318 0.487
Mn3 0.341 0.827 0.282
Mn4 0.671 0.640 0.007
Mn5 0.836 0.330 0.284
Te1 0.167 0.672 0.786
Te2 0.650 0.184 0.779
Te3 0.835 0.825 0.284
O1 0.034 0.525 0.668
O2 0.037 0.966 0.675
O3 0.146 0.684 0.389
O4 0.153 0.143 0.379
O5 0.310 0.821 0.898
O6 0.331 0.361 0.895
O7 0.470 0.067 0.648
O8 0.480 0.513 0.676
O9 0.529 0.521 0.184
O10 0.537 0.961 0.172
O11 0.688 0.685 0.402
O12 0.702 0.134 0.389
O13 0.834 0.309 0.902
O14 0.884 0.797 0.904
O15 0.970 0.523 0.178
O16 0.989 0.974 0.178
```

Most intense lines, 10 to 90 degrees two-theta, low angle first:
- 5.016 Å, 2θ = 17.68°, I 100, (0 0 2)
- 4.816 Å, 2θ = 18.42°, I 19, (1 0 1)
- 4.788 Å, 2θ = 18.53°, I 44, (0 1 -1)
- 4.728 Å, 2θ = 18.77°, I 29, (1 1 -1)
- 3.699 Å, 2θ = 24.06°, I 20, (1 1 2)
- 2.645 Å, 2θ = 33.89°, I 29, (0 2 1)
- 2.637 Å, 2θ = 34.00°, I 42, (2 0 1)
- 2.617 Å, 2θ = 34.26°, I 17, (2 2 1)
- 2.394 Å, 2θ = 37.58°, I 22, (0 2 -2)
- 2.118 Å, 2θ = 42.69°, I 21, (2 0 3)